Entry 1:
This entry pairs a crystal structure of ScHO2 with its simulated PXRD pattern. Radiation: Cu Kα. Structure: a cell relaxed with GGA-PBE.
No peak broadening, texture or thermal motion is included.

Structure:
Lattice parameters (Å, degrees): 3.402 3.858 7.172 85.98 81.63 81.01
Atoms (fractional coordinates):
Sc (0.000, 0.000, 0.000)
Sc (0.154, 0.381, 0.377)
H (0.585, 0.224, 0.669)
H (0.594, 0.666, 0.181)
O (0.271, 0.898, 0.266)
O (0.523, 0.041, 0.857)
O (0.624, 0.353, 0.535)
O (0.850, 0.485, 0.125)

Main lines, in order of rising 2θ (10 to 80 degrees two-theta):
| 2θ/deg | d/Å | I_rel |
| --- | --- | --- |
| 12.49 | 7.087 | 100 |
| 23.37 | 3.806 | 18 |
| 25.13 | 3.544 | 24 |
| 26.03 | 3.423 | 71 |
| 26.78 | 3.329 | 18 |
| 27.13 | 3.287 | 40 |
| 31.21 | 2.866 | 44 |
| 34.35 | 2.611 | 38 |
| 43.86 | 2.064 | 21 |
| 44.95 | 2.017 | 17 |
| 48.96 | 1.861 | 20 |
| 57.88 | 1.593 | 18 |

***

Entry 2:
This entry pairs a crystal structure of MgSO3 with its simulated PXRD pattern. Radiation: Cu Kα. Structure: a cell relaxed with GGA-PBE.
No peak broadening, texture or thermal motion is included.

Structure:
Lattice parameters (Å, degrees): 5.345 11.992 8.093 90.00 99.89 90.00
Atoms (fractional coordinates):
Mg (0.121, 0.244, 0.154)
Mg (0.121, 0.256, 0.654)
Mg (0.331, 0.579, 0.118)
Mg (0.331, 0.921, 0.618)
Mg (0.669, 0.079, 0.382)
Mg (0.669, 0.421, 0.882)
Mg (0.879, 0.744, 0.346)
Mg (0.879, 0.756, 0.846)
S (0.088, 0.521, 0.743)
S (0.088, 0.979, 0.243)
S (0.475, 0.674, 0.516)
S (0.475, 0.826, 0.016)
S (0.525, 0.174, 0.984)
S (0.525, 0.326, 0.484)
S (0.912, 0.021, 0.757)
S (0.912, 0.479, 0.257)
O (0.027, 0.598, 0.260)
O (0.027, 0.902, 0.760)
O (0.098, 0.082, 0.657)
O (0.098, 0.418, 0.157)
O (0.256, 0.739, 0.001)
O (0.256, 0.761, 0.501)
O (0.279, 0.242, 0.919)
O (0.279, 0.258, 0.419)
O (0.338, 0.518, 0.872)
O (0.338, 0.982, 0.372)
O (0.475, 0.156, 0.166)
O (0.475, 0.344, 0.666)
O (0.525, 0.656, 0.334)
O (0.525, 0.844, 0.834)
O (0.662, 0.018, 0.628)
O (0.662, 0.482, 0.128)
O (0.721, 0.742, 0.581)
O (0.721, 0.758, 0.081)
O (0.744, 0.239, 0.499)
O (0.744, 0.261, 0.999)
O (0.902, 0.582, 0.843)
O (0.902, 0.918, 0.343)
O (0.973, 0.098, 0.240)
O (0.973, 0.402, 0.740)

Main lines, in order of rising 2θ (10 to 80 degrees two-theta):
| 2θ/deg | d/Å | I_rel |
| --- | --- | --- |
| 22.47 | 3.957 | 39 |
| 23.78 | 3.742 | 22 |
| 24.92 | 3.573 | 66 |
| 25.61 | 3.479 | 40 |
| 26.68 | 3.341 | 37 |
| 26.86 | 3.320 | 100 |
| 28.03 | 3.184 | 30 |
| 29.10 | 3.069 | 71 |
| 30.36 | 2.944 | 76 |
| 34.85 | 2.575 | 31 |
| 44.31 | 2.044 | 22 |
| 48.41 | 1.880 | 26 |

***

Entry 3:
This entry pairs a crystal structure of Ca3Ta3N5 with its simulated PXRD pattern. Radiation: Cu Kα. Structure: a cell relaxed with GGA-PBE.
No peak broadening, texture or thermal motion is included.

Structure:
Lattice parameters (Å, degrees): 5.970 8.090 8.411 109.82 106.22 105.06
Atoms (fractional coordinates):
Ca (0.162, 0.345, 0.370)
Ca (0.202, 0.155, 0.721)
Ca (0.216, 0.927, 0.099)
Ca (0.784, 0.073, 0.901)
Ca (0.798, 0.845, 0.279)
Ca (0.838, 0.655, 0.630)
Ta (0.232, 0.493, 0.058)
Ta (0.373, 0.793, 0.435)
Ta (0.391, 0.631, 0.803)
Ta (0.609, 0.369, 0.197)
Ta (0.627, 0.207, 0.565)
Ta (0.768, 0.507, 0.942)
N (0.078, 0.584, 0.863)
N (0.241, 0.199, 0.037)
N (0.257, 0.719, 0.608)
N (0.262, 0.018, 0.420)
N (0.473, 0.417, 0.663)
N (0.527, 0.583, 0.337)
N (0.738, 0.982, 0.580)
N (0.743, 0.281, 0.392)
N (0.759, 0.801, 0.963)
N (0.922, 0.416, 0.137)

Main lines, in order of rising 2θ (10 to 80 degrees two-theta):
| 2θ/deg | d/Å | I_rel |
| --- | --- | --- |
| 12.64 | 7.000 | 99 |
| 13.12 | 6.746 | 49 |
| 16.81 | 5.273 | 43 |
| 19.96 | 4.448 | 22 |
| 21.22 | 4.188 | 44 |
| 24.63 | 3.615 | 44 |
| 31.21 | 2.866 | 41 |
| 31.50 | 2.840 | 80 |
| 33.00 | 2.714 | 83 |
| 34.03 | 2.634 | 100 |
| 37.00 | 2.429 | 25 |
| 43.32 | 2.089 | 25 |

***

Entry 4:
This entry pairs a crystal structure of Tl2GeTe3 with its simulated PXRD pattern. Radiation: Cu Kα. Structure: a cell relaxed with GGA-PBE.
No peak broadening, texture or thermal motion is included.

Structure:
Lattice parameters (Å, degrees): 8.557 22.008 8.774 90.00 90.00 90.00
Atoms (fractional coordinates):
Tl (0.178, 0.168, 0.021)
Tl (0.178, 0.332, 0.021)
Tl (0.230, 0.007, 0.954)
Tl (0.230, 0.493, 0.954)
Tl (0.270, 0.507, 0.454)
Tl (0.270, 0.993, 0.454)
Tl (0.322, 0.668, 0.521)
Tl (0.322, 0.832, 0.521)
Tl (0.678, 0.168, 0.479)
Tl (0.678, 0.332, 0.479)
Tl (0.730, 0.007, 0.546)
Tl (0.730, 0.493, 0.546)
Tl (0.770, 0.507, 0.046)
Tl (0.770, 0.993, 0.046)
Tl (0.822, 0.668, 0.979)
Tl (0.822, 0.832, 0.979)
Ge (0.174, 0.169, 0.515)
Ge (0.174, 0.331, 0.515)
Ge (0.326, 0.669, 0.015)
Ge (0.326, 0.831, 0.015)
Ge (0.674, 0.169, 0.985)
Ge (0.674, 0.331, 0.985)
Ge (0.826, 0.669, 0.485)
Ge (0.826, 0.831, 0.485)
Te (0.003, 0.250, 0.674)
Te (0.015, 0.093, 0.338)
Te (0.015, 0.407, 0.338)
Te (0.126, 0.610, 0.187)
Te (0.126, 0.890, 0.187)
Te (0.168, 0.750, 0.845)
Te (0.332, 0.250, 0.345)
Te (0.374, 0.110, 0.687)
Te (0.374, 0.390, 0.687)
Te (0.485, 0.593, 0.838)
Te (0.485, 0.907, 0.838)
Te (0.497, 0.750, 0.174)
Te (0.503, 0.250, 0.826)
Te (0.515, 0.093, 0.162)
Te (0.515, 0.407, 0.162)
Te (0.626, 0.610, 0.313)
Te (0.626, 0.890, 0.313)
Te (0.668, 0.750, 0.655)
Te (0.832, 0.250, 0.155)
Te (0.874, 0.110, 0.813)
Te (0.874, 0.390, 0.813)
Te (0.985, 0.593, 0.662)
Te (0.985, 0.907, 0.662)
Te (0.997, 0.750, 0.326)

Main lines, in order of rising 2θ (10 to 80 degrees two-theta):
| 2θ/deg | d/Å | I_rel |
| --- | --- | --- |
| 25.85 | 3.446 | 60 |
| 26.16 | 3.406 | 36 |
| 28.03 | 3.184 | 44 |
| 28.33 | 3.150 | 41 |
| 29.15 | 3.064 | 71 |
| 29.44 | 3.034 | 47 |
| 31.80 | 2.814 | 100 |
| 32.14 | 2.785 | 70 |
| 32.59 | 2.747 | 31 |
| 33.02 | 2.713 | 32 |
| 35.43 | 2.534 | 30 |
| 51.19 | 1.784 | 33 |

***

Entry 5:
This entry pairs a crystal structure of CeH3 with its simulated PXRD pattern. Radiation: Cu Kα. Structure: a cell relaxed with GGA-PBE.
No peak broadening, texture or thermal motion is included.

Structure:
Lattice parameters (Å, degrees): 5.450 5.450 5.450 90.00 90.00 90.00
Atoms (fractional coordinates):
Ce (0.000, 0.000, 0.000)
Ce (0.000, 0.500, 0.500)
Ce (0.500, 0.000, 0.500)
Ce (0.500, 0.500, 0.000)
H (0.000, 0.000, 0.500)
H (0.000, 0.500, 0.000)
H (0.250, 0.250, 0.250)
H (0.250, 0.250, 0.750)
H (0.250, 0.750, 0.250)
H (0.250, 0.750, 0.750)
H (0.500, 0.000, 0.000)
H (0.500, 0.500, 0.500)
H (0.750, 0.250, 0.250)
H (0.750, 0.250, 0.750)
H (0.750, 0.750, 0.250)
H (0.750, 0.750, 0.750)

Main lines, in order of rising 2θ (10 to 80 degrees two-theta):
| 2θ/deg | d/Å | I_rel |
| --- | --- | --- |
| 28.36 | 3.147 | 100 |
| 32.86 | 2.725 | 51 |
| 47.16 | 1.927 | 40 |
| 55.95 | 1.643 | 45 |
| 58.68 | 1.573 | 13 |
| 68.91 | 1.363 | 6 |
| 76.13 | 1.250 | 18 |
| 78.48 | 1.219 | 17 |

***

Entry 6:
This entry pairs a crystal structure of LiMg2Au with its simulated PXRD pattern. Radiation: Cu Kα. Structure: a cell relaxed with GGA-PBE.
No peak broadening, texture or thermal motion is included.

Structure:
Lattice parameters (Å, degrees): 6.585 6.585 6.585 90.00 90.00 90.00
Atoms (fractional coordinates):
Li (0.000, 0.000, 0.000)
Li (0.000, 0.500, 0.500)
Li (0.500, 0.000, 0.500)
Li (0.500, 0.500, 0.000)
Mg (0.250, 0.250, 0.250)
Mg (0.250, 0.250, 0.750)
Mg (0.250, 0.750, 0.250)
Mg (0.250, 0.750, 0.750)
Mg (0.750, 0.250, 0.250)
Mg (0.750, 0.250, 0.750)
Mg (0.750, 0.750, 0.250)
Mg (0.750, 0.750, 0.750)
Au (0.000, 0.000, 0.500)
Au (0.000, 0.500, 0.000)
Au (0.500, 0.000, 0.000)
Au (0.500, 0.500, 0.500)

Main lines, in order of rising 2θ (10 to 80 degrees two-theta):
| 2θ/deg | d/Å | I_rel |
| --- | --- | --- |
| 23.40 | 3.802 | 100 |
| 27.08 | 3.293 | 32 |
| 38.67 | 2.328 | 73 |
| 45.69 | 1.986 | 53 |
| 47.85 | 1.901 | 10 |
| 55.84 | 1.646 | 13 |
| 61.37 | 1.511 | 22 |
| 63.14 | 1.473 | 13 |
| 69.99 | 1.344 | 26 |
| 74.93 | 1.267 | 17 |

***

Entry 7:
This entry pairs a crystal structure of CuI4 with its simulated PXRD pattern. Radiation: Cu Kα. Structure: a cell relaxed with GGA-PBE.
No peak broadening, texture or thermal motion is included.

Structure:
Lattice parameters (Å, degrees): 5.607 5.607 11.249 90.00 90.00 90.00
Atoms (fractional coordinates):
Cu (0.000, 0.000, 0.000)
Cu (0.500, 0.500, 0.500)
I (0.238, 0.238, 0.630)
I (0.238, 0.762, 0.370)
I (0.262, 0.262, 0.130)
I (0.262, 0.738, 0.870)
I (0.738, 0.262, 0.870)
I (0.738, 0.738, 0.130)
I (0.762, 0.238, 0.370)
I (0.762, 0.762, 0.630)

Main lines, in order of rising 2θ (10 to 80 degrees two-theta):
| 2θ/deg | d/Å | I_rel |
| --- | --- | --- |
| 27.53 | 3.240 | 100 |
| 31.82 | 2.812 | 12 |
| 31.92 | 2.803 | 24 |
| 36.72 | 2.447 | 4 |
| 45.72 | 1.984 | 46 |
| 54.11 | 1.695 | 14 |
| 54.25 | 1.691 | 28 |
| 56.83 | 1.620 | 9 |
| 66.74 | 1.402 | 5 |
| 73.52 | 1.288 | 11 |
| 73.63 | 1.286 | 5 |
| 75.87 | 1.254 | 7 |

***

Entry 8:
This entry pairs a crystal structure of CaAg2O4 with its simulated PXRD pattern. Radiation: Cu Kα. Structure: a cell relaxed with GGA-PBE.
No peak broadening, texture or thermal motion is included.

Structure:
Lattice parameters (Å, degrees): 6.595 6.595 16.231 90.42 90.42 59.82
Atoms (fractional coordinates):
Ca (0.000, 0.000, 0.000)
Ca (0.169, 0.169, 0.834)
Ca (0.335, 0.335, 0.666)
Ca (0.488, 0.488, 0.126)
Ca (0.501, 0.501, 0.498)
Ca (0.672, 0.672, 0.332)
Ag (0.163, 0.163, 0.459)
Ag (0.169, 0.671, 0.333)
Ag (0.170, 0.170, 0.209)
Ag (0.335, 0.835, 0.666)
Ag (0.504, 0.998, 0.000)
Ag (0.506, 0.506, 0.873)
Ag (0.671, 0.169, 0.333)
Ag (0.829, 0.829, 0.786)
Ag (0.835, 0.335, 0.666)
Ag (0.836, 0.836, 0.166)
Ag (0.842, 0.842, 0.545)
Ag (0.998, 0.504, 0.000)
O (0.004, 0.553, 0.248)
O (0.012, 0.012, 0.738)
O (0.115, 0.674, 0.081)
O (0.155, 0.155, 0.594)
O (0.184, 0.184, 0.070)
O (0.202, 0.675, 0.592)
O (0.328, 0.809, 0.405)
O (0.332, 0.332, 0.930)
O (0.337, 0.337, 0.407)
O (0.345, 0.861, 0.928)
O (0.468, 0.996, 0.740)
O (0.490, 0.490, 0.266)
O (0.515, 0.515, 0.738)
O (0.553, 0.004, 0.248)
O (0.659, 0.659, 0.595)
O (0.674, 0.115, 0.081)
O (0.675, 0.202, 0.592)
O (0.680, 0.680, 0.078)
O (0.809, 0.328, 0.405)
O (0.822, 0.822, 0.926)
O (0.852, 0.852, 0.402)
O (0.861, 0.345, 0.928)
O (0.992, 0.992, 0.249)
O (0.996, 0.468, 0.740)

Main lines, in order of rising 2θ (10 to 80 degrees two-theta):
| 2θ/deg | d/Å | I_rel |
| --- | --- | --- |
| 16.40 | 5.405 | 26 |
| 26.84 | 3.322 | 26 |
| 27.04 | 3.298 | 42 |
| 31.67 | 2.825 | 40 |
| 31.83 | 2.812 | 43 |
| 31.86 | 2.809 | 100 |
| 33.36 | 2.686 | 15 |
| 47.87 | 1.900 | 17 |
| 50.65 | 1.802 | 35 |
| 50.90 | 1.794 | 24 |
| 55.74 | 1.649 | 46 |
| 65.80 | 1.419 | 12 |

***

Entry 9:
This entry pairs a crystal structure of BaNb3NO7 with its simulated PXRD pattern. Radiation: Cu Kα. Structure: a cell relaxed with GGA-PBE.
No peak broadening, texture or thermal motion is included.

Structure:
Lattice parameters (Å, degrees): 10.757 10.757 9.111 90.66 90.66 20.86
Atoms (fractional coordinates):
Ba (0.000, 0.000, 0.000)
Ba (0.034, 0.034, 0.505)
Nb (0.257, 0.257, 0.998)
Nb (0.383, 0.383, 0.317)
Nb (0.383, 0.383, 0.682)
Nb (0.648, 0.648, 0.192)
Nb (0.654, 0.654, 0.800)
Nb (0.776, 0.776, 0.503)
N (0.311, 0.311, 0.500)
N (0.718, 0.718, 0.658)
O (0.171, 0.171, 0.160)
O (0.171, 0.171, 0.853)
O (0.314, 0.314, 0.155)
O (0.314, 0.314, 0.848)
O (0.441, 0.441, 0.505)
O (0.450, 0.450, 0.816)
O (0.451, 0.451, 0.190)
O (0.581, 0.581, 0.684)
O (0.584, 0.584, 0.323)
O (0.597, 0.597, 0.009)
O (0.721, 0.721, 0.338)
O (0.730, 0.730, 0.004)
O (0.865, 0.865, 0.666)
O (0.868, 0.868, 0.338)

Main lines, in order of rising 2θ (10 to 80 degrees two-theta):
| 2θ/deg | d/Å | I_rel |
| --- | --- | --- |
| 19.50 | 4.552 | 21 |
| 25.66 | 3.472 | 91 |
| 25.97 | 3.432 | 82 |
| 26.13 | 3.410 | 85 |
| 27.89 | 3.199 | 33 |
| 27.99 | 3.187 | 35 |
| 30.49 | 2.931 | 100 |
| 31.21 | 2.866 | 38 |
| 33.90 | 2.644 | 25 |
| 46.63 | 1.948 | 38 |
| 53.99 | 1.698 | 30 |
| 54.17 | 1.693 | 29 |

***

Entry 10:
This entry pairs a crystal structure of Li3Al with its simulated PXRD pattern. Radiation: Cu Kα. Structure: a cell relaxed with GGA-PBE.
No peak broadening, texture or thermal motion is included.

Structure:
Lattice parameters (Å, degrees): 3.917 3.917 8.783 90.00 90.00 90.00
Atoms (fractional coordinates):
Li (0.000, 0.000, 0.000)
Li (0.000, 0.500, 0.250)
Li (0.000, 0.500, 0.750)
Li (0.500, 0.000, 0.250)
Li (0.500, 0.000, 0.750)
Li (0.500, 0.500, 0.500)
Al (0.000, 0.000, 0.500)
Al (0.500, 0.500, 0.000)

Main lines, in order of rising 2θ (10 to 80 degrees two-theta):
| 2θ/deg | d/Å | I_rel |
| --- | --- | --- |
| 20.22 | 4.391 | 30 |
| 24.89 | 3.577 | 71 |
| 32.32 | 2.770 | 17 |
| 38.42 | 2.343 | 100 |
| 41.11 | 2.196 | 16 |
| 46.36 | 1.958 | 23 |
| 51.06 | 1.789 | 9 |
| 53.30 | 1.719 | 24 |
| 61.71 | 1.503 | 10 |
| 63.67 | 1.462 | 18 |
| 67.66 | 1.385 | 7 |
| 73.12 | 1.294 | 11 |

***

Entry 11:
This entry pairs a crystal structure of TbPrMn4 with its simulated PXRD pattern. Radiation: Cu Kα. Structure: a cell relaxed with GGA-PBE.
No peak broadening, texture or thermal motion is included.

Structure:
Lattice parameters (Å, degrees): 5.233 5.233 5.233 60.00 60.00 60.00
Atoms (fractional coordinates):
Tb (0.000, 0.000, 0.000)
Pr (0.750, 0.750, 0.750)
Mn (0.374, 0.374, 0.374)
Mn (0.374, 0.374, 0.879)
Mn (0.374, 0.879, 0.374)
Mn (0.879, 0.374, 0.374)

Main lines, in order of rising 2θ (10 to 80 degrees two-theta):
| 2θ/deg | d/Å | I_rel |
| --- | --- | --- |
| 20.79 | 4.272 | 17 |
| 34.27 | 2.616 | 68 |
| 40.43 | 2.231 | 100 |
| 42.31 | 2.136 | 14 |
| 49.25 | 1.850 | 1 |
| 54.01 | 1.698 | 5 |
| 61.38 | 1.511 | 25 |
| 65.55 | 1.424 | 31 |
| 72.22 | 1.308 | 22 |
| 76.10 | 1.251 | 4 |

***

Question: Which formula does entry 1 have?
Answer: ScHO2